Simulated powder diffraction line list of Pb3O for CuKα, from a PBE-relaxed structure.
No peak broadening, texture or thermal motion is included.

The 11 most intense peaks (2θ from 5° to 70°), most intense first:
2theta, d (Å), I_rel, (hkl)
33.22, 2.697, 100, 1 1 1
38.54, 2.336, 50, 2 0 0
66.36, 1.409, 42, 3 1 1
55.65, 1.652, 35, 2 2 0
19.00, 4.672, 25, 1 0 0
26.99, 3.303, 22, 1 1 0
43.31, 2.089, 13, 2 1 0
69.73, 1.349, 12, 2 2 2
47.68, 1.907, 10, 2 1 1
59.35, 1.557, 7, 3 0 0
62.91, 1.477, 5, 3 1 0

Structural model:
```
data_Pb3O
_chemical_formula_sum 'Pb3 O1'
_cell_length_a 4.672
_cell_length_b 4.672
_cell_length_c 4.672
_cell_angle_alpha 90.00
_cell_angle_beta 90.00
_cell_angle_gamma 90.00
_space_group_name_H-M_alt 'P m -3 m'
_space_group_IT_number 221
_space_group_name_Hall '-P 4 2 3'
loop_
_atom_site_label
_atom_site_type_symbol
_atom_site_fract_x
_atom_site_fract_y
_atom_site_fract_z
Pb1 Pb 0.000 0.000 0.500
O1 O 0.500 0.500 0.500
```